This entry pairs a crystal structure of AcPuWN4 with its calculated XRD peak list. Radiation: Cu Kα. Structure: a GGA-PBE-relaxed structure.

Crystal structure
```
data_AcPuWN4
_chemical_formula_sum 'Ac4 Pu4 W4 N16'
_symmetry_space_group_name_H-M 'C m c m'
_symmetry_Int_Tables_number 63
_symmetry_space_group_name_Hall '-C 2c 2'
_cell_length_a 5.626
_cell_length_b 12.952
_cell_length_c 5.656
_cell_angle_alpha 90.00
_cell_angle_beta 90.00
_cell_angle_gamma 90.00
loop_
_atom_site_label
_atom_site_type_symbol
_atom_site_fract_x
_atom_site_fract_y
_atom_site_fract_z
_atom_site_occupancy
Ac1 Ac 0.000 0.108 0.250 1
Pu1 Pu 0.000 0.400 0.250 1
W1 W 0.000 0.237 0.750 1
N1 N 0.000 0.090 0.750 1
N2 N 0.000 0.432 0.750 1
N3 N 0.250 0.250 0.000 1
```

Main lines, low angle first (2θ from 10° to 90°):
| 2θ (°) | Rel. int. |
| --- | --- |
| 30.5 | 100 |
| 31.6 | 28 |
| 31.8 | 28 |
| 45.5 | 25 |
| 55.6 | 20 |
| 55.9 | 19 |